Diffraction record for Na3GeTe3. The X-ray powder pattern is computed, not measured: it uses a structure optimized by DFT (GGA-PBE) and Cu Kα, 1.54184 Å.
Lines closer than 0.1° are merged.

Atomic structure:
```
Na3GeTe3
1.0
8.9134 0.0000 0.0000
0.0000 13.0722 0.0000
-4.5033 0.0000 7.8734
Na Ge Te
12 4 12
Cartesian
-0.0511 1.9931 0.1830
-2.3028 4.5430 4.1198
-0.3363 0.7487 4.1670
1.9153 5.7874 0.2303
3.1671 9.5546 1.8136
0.9155 10.0537 5.7504
3.4946 3.0185 2.1231
1.2429 3.5176 6.0598
2.4947 7.2848 7.6432
4.7464 12.3235 3.7064
6.7128 8.5291 3.7537
4.4612 11.0791 7.6904
-1.2589 0.1308 7.5986
0.9927 6.4053 3.6619
3.4173 6.6669 4.2115
5.6690 12.9414 0.2748
0.3640 8.1536 1.8212
-1.8877 11.4547 5.7579
-1.6771 2.5925 6.8090
0.5746 3.9436 2.8723
-0.3056 6.9117 5.8681
1.9461 12.6966 1.9314
2.4639 0.3756 5.9420
4.7156 6.1605 2.0053
3.8354 9.1286 5.0012
6.0871 10.4797 1.0644
6.2977 1.6175 2.1155
4.0460 4.9186 6.0522
```

Largest 10 diffraction maxima, in order of rising 2θ, 10 to 90 degrees two-theta:
| Position (°2θ) | intensity | hkl |
| --- | --- | --- |
| 13.13 | 39 | 0 1 1 |
| 21.06 | 69 | 2 1 -1 |
| 22.99 | 39 | 2 0 0 |
| 23.42 | 75 | 1 3 0 |
| 23.94 | 45 | 1 2 1 |
| 28.46 | 100 | 1 3 1 |
| 29.67 | 50 | 1 4 0 |
| 30.98 | 56 | 2 1 -3 |
| 33.61 | 33 | 3 2 -2 |
| 43.08 | 31 | 0 6 1 |


Diffraction record for HoMgGa. The X-ray powder pattern is computed, not measured: it uses a structure optimized by DFT (GGA-PBE) and Cu Kα, 1.54184 Å.
Lines closer than 0.1° are merged.

Atomic structure:
```
HoMgGa
1.0
7.2881 0.0000 0.0000
-3.6440 6.3117 0.0000
0.0000 0.0000 4.3989
Ho Mg Ga
3 3 3
Cartesian
-2.1015 3.6400 0.0000
1.5425 2.6717 0.0000
4.2031 0.0000 0.0000
-0.8920 1.5449 2.1995
1.7840 0.0000 2.1995
2.7521 4.7667 2.1995
0.0000 0.0000 0.0000
0.0000 4.2078 2.1995
3.6441 2.1039 2.1995
```

Largest 10 diffraction maxima, in order of rising 2θ, 10 to 90 degrees two-theta:
| Position (°2θ) | intensity | hkl |
| --- | --- | --- |
| 20.19 | 27 | 0 0 1 |
| 24.43 | 25 | 1 1 0 |
| 28.28 | 33 | 2 0 0 |
| 31.89 | 81 | 1 1 1 |
| 34.99 | 100 | 2 0 1 |
| 37.71 | 25 | 2 1 0 |
| 41.04 | 24 | 0 0 2 |
| 52.26 | 22 | 3 1 0 |
| 56.59 | 31 | 3 1 1 |
| 68.51 | 20 | 3 1 2 |


Diffraction record for K2UAs2O9. The X-ray powder pattern is computed, not measured: it uses a structure optimized by DFT (GGA-PBE) and Cu Kα, 1.54184 Å.
Lines closer than 0.1° are merged.

Atomic structure:
```
K2UAs2O9
1.0
12.7704 0.0000 0.0000
0.0000 13.5112 0.0000
0.0000 0.0000 5.7935
K U As O
8 4 8 36
Cartesian
1.0044 3.3778 0.0955
3.1926 7.8269 5.7676
3.1926 12.4399 5.7676
5.3808 3.3778 0.0955
7.3896 10.1334 5.6980
9.5778 1.0713 0.0259
9.5778 5.6843 0.0259
11.7659 10.1334 5.6980
0.0000 0.0000 2.8968
0.0000 6.7556 2.8968
6.3852 0.0000 2.8968
6.3852 6.7556 2.8968
1.5502 10.1334 2.9242
3.1926 1.7609 3.0217
3.1926 4.9947 3.0217
4.8349 10.1334 2.9242
7.9354 3.3778 2.8694
9.5778 8.5165 2.7719
9.5778 11.7503 2.7719
11.2201 3.3778 2.8694
0.8179 8.7674 3.6895
0.8179 11.4994 3.6895
0.8886 7.0042 1.3249
0.8886 13.2626 1.3249
1.6057 10.1334 1.2573
1.8114 1.0658 3.7887
1.8114 5.6898 3.7887
3.1926 1.8681 1.3604
3.1926 3.3778 3.8367
3.1926 4.8875 1.3604
3.1926 10.1334 3.7050
4.5738 1.0658 3.7887
4.5738 5.6898 3.7887
4.7795 10.1334 1.2573
5.4966 7.0042 1.3249
5.4966 13.2626 1.3249
5.5673 8.7674 3.6895
5.5673 11.4994 3.6895
7.2031 2.0118 2.1041
7.2031 4.7438 2.1041
7.2738 0.2486 4.4687
7.2738 6.5070 4.4687
7.9909 3.3778 4.5362
8.1966 7.8214 2.0048
8.1966 12.4454 2.0048
9.5778 3.3778 2.0886
9.5778 8.6237 4.4332
9.5778 10.1334 1.9569
9.5778 11.6431 4.4332
10.9590 7.8214 2.0048
10.9590 12.4454 2.0048
11.1647 3.3778 4.5362
11.8818 0.2486 4.4687
11.8818 6.5070 4.4687
11.9525 2.0118 2.1041
11.9525 4.7438 2.1041
```

Largest 10 diffraction maxima, in order of rising 2θ, 10 to 90 degrees two-theta:
| Position (°2θ) | intensity | hkl |
| --- | --- | --- |
| 15.29 | 100 | 0 0 1 |
| 19.13 | 47 | 2 2 0 |
| 24.58 | 85 | 2 2 1 |
| 26.01 | 31 | 1 3 1 |
| 26.81 | 32 | 3 1 1 |
| 29.93 | 42 | 2 4 0 |
| 30.98 | 31 | 4 2 0 |
| 33.77 | 30 | 2 4 1 |
| 34.72 | 28 | 4 2 1 |
| 44.30 | 28 | 4 2 2 |